Diffraction record for CsB5O8. The PXRD pattern is theoretical, not measured: it uses a GGA-PBE-relaxed structure and Cu Kα X-rays.
Neutral-atom scattering factors, no anomalous dispersion.

Structural model:
Cell lengths 7.1797, 10.0246, 11.6682 Å; angles 90.00, 116.85, 90.00 degrees
Atoms (fractional coordinates):
1 Cs 0.1971 0.0070 0.2771
2 Cs 0.1971 0.4930 0.7771
3 Cs 0.8029 0.5070 0.2229
4 Cs 0.8029 0.9930 0.7229
5 B 0.0284 0.7494 0.0122
6 B 0.0284 0.7506 0.5122
7 B 0.2296 0.0951 0.6328
8 B 0.2296 0.4049 0.1328
9 B 0.3367 0.2239 0.0294
10 B 0.3367 0.2761 0.5294
11 B 0.3519 0.6922 0.5022
12 B 0.3519 0.8078 0.0022
13 B 0.3687 0.5876 0.3204
14 B 0.3687 0.9124 0.8204
15 B 0.6313 0.0876 0.1796
16 B 0.6313 0.4124 0.6796
17 B 0.6481 0.1922 0.9978
18 B 0.6481 0.3078 0.4978
19 B 0.6633 0.7239 0.4706
20 B 0.6633 0.7761 0.9706
21 B 0.7704 0.5951 0.8672
22 B 0.7704 0.9049 0.3672
23 B 0.9716 0.2494 0.4878
24 B 0.9716 0.2506 0.9878
25 O 0.0289 0.1508 0.5823
26 O 0.0289 0.3492 0.0823
27 O 0.1113 0.1986 0.9512
28 O 0.1113 0.3014 0.4512
29 O 0.2347 0.7093 0.5685
30 O 0.2347 0.7907 0.0685
31 O 0.2501 0.6349 0.3799
32 O 0.2501 0.8651 0.8799
33 O 0.2608 0.5119 0.2124
34 O 0.2608 0.9881 0.7124
35 O 0.3721 0.1437 0.5971
36 O 0.3721 0.3563 0.0971
37 O 0.4255 0.1180 0.1297
38 O 0.4255 0.3820 0.6297
39 O 0.4434 0.2272 0.9467
40 O 0.4434 0.2728 0.4467
41 O 0.5566 0.7272 0.5533
42 O 0.5566 0.7728 0.0533
43 O 0.5745 0.6180 0.3703
44 O 0.5745 0.8820 0.8703
45 O 0.6279 0.6437 0.9029
46 O 0.6279 0.8563 0.4029
47 O 0.7392 0.0119 0.2876
48 O 0.7392 0.4881 0.7876
49 O 0.7499 0.1349 0.1201
50 O 0.7499 0.3651 0.6201
51 O 0.7653 0.2093 0.9315
52 O 0.7653 0.2907 0.4315
53 O 0.8887 0.6986 0.5488
54 O 0.8887 0.8014 0.0488
55 O 0.9711 0.6508 0.9177
56 O 0.9711 0.8492 0.4177

Peak list (6 most intense, 2θ from 5° to 70°, most intense first)
24.7°, rel. 100.0, hkl 0 2 2; 29.5°, rel. 46.9, hkl 2 1 -3; 21.2°, rel. 32.5, hkl 1 1 1; 33.2°, rel. 27.7, hkl 2 2 0; 35.7°, rel. 22.2, hkl 1 1 3; 15.3°, rel. 21.8, hkl 1 1 -1